Entry 1:
Starting from the PBE geometry in Alexandria, the powder diffractogram of BaSr2I was computed for λ = 1.5418 Å (Cu Kα).

Structural model:
```
BaSr2I
1.0
4.157 0.000 0.000
0.000 4.157 0.000
0.000 0.000 11.422
Ba Sr I
1 2 1
direct
0.000 0.000 0.000
0.500 0.500 0.288
0.500 0.500 0.712
0.000 0.000 0.500
```

Peak list (8 most intense, 5 to 70 degrees two-theta, in order of rising 2θ)
2θ/deg	intensity
26.5	100.0
30.4	38.5
31.3	12.3
43.5	14.2
44.2	18.9
51.7	31.1
52.9	6.8
54.6	10.0

Entry 2:
Starting from the PBE geometry in Alexandria, the powder diffractogram of AcAg2I8 was computed for λ = 1.5418 Å (Cu Kα).

Structural model:
```
AcAg2I8
1.0
8.357 0.000 0.000
-4.178 7.237 0.000
0.000 0.000 8.511
Ac Ag I
1 2 8
direct
0.000 0.000 0.000
0.333 0.667 0.582
0.667 0.333 0.418
0.159 0.318 0.730
0.159 0.841 0.730
0.318 0.159 0.270
0.333 0.667 0.264
0.667 0.333 0.736
0.682 0.841 0.730
0.841 0.159 0.270
0.841 0.682 0.270
```

Peak list (8 most intense, 5 to 70 degrees two-theta, in order of rising 2θ)
2θ/deg	intensity
16.1	45.6
20.9	17.9
21.3	24.6
26.8	100.0
32.5	35.1
34.4	18.0
40.4	46.2
43.3	38.3

Entry 3:
Starting from the PBE geometry in Alexandria, the powder diffractogram of La2InHg6 was computed for λ = 1.5418 Å (Cu Kα).

Structural model:
```
La2InHg6
1.0
4.511 -2.605 0.000
4.511 2.605 0.000
-0.017 0.000 10.027
La In Hg
2 1 6
direct
0.166 0.166 0.273
0.834 0.834 0.727
0.500 0.500 0.500
0.167 0.167 0.603
0.167 0.167 0.926
0.499 0.499 0.152
0.501 0.501 0.848
0.833 0.833 0.074
0.833 0.833 0.397
```

Peak list (8 most intense, 5 to 70 degrees two-theta, in order of rising 2θ)
2θ/deg	intensity
21.6	6.9
33.4	100.0
34.4	95.7
48.7	35.0
50.5	4.8
58.9	17.3
61.0	35.8
61.7	18.0

Entry 4:
Starting from the PBE geometry in Alexandria, the powder diffractogram of La3Nd7In2 was computed for λ = 1.5418 Å (Cu Kα).

Structural model:
```
La3Nd7In2
1.0
5.876 0.000 0.000
0.000 3.690 0.000
-1.178 0.000 18.912
La Nd In
3 7 2
direct
0.000 0.000 0.000
0.279 0.500 0.644
0.721 0.500 0.356
0.176 0.500 0.153
0.242 0.000 0.465
0.319 0.000 0.831
0.500 0.500 0.000
0.681 0.000 0.169
0.758 0.000 0.535
0.824 0.500 0.847
0.209 0.000 0.296
0.791 0.000 0.704
```

Peak list (8 most intense, 5 to 70 degrees two-theta, in order of rising 2θ)
2θ/deg	intensity
28.3	36.1
29.8	20.2
30.4	100.0
30.6	32.5
31.4	26.9
31.5	21.4
33.1	19.6
33.9	34.9

Entry 5:
Starting from the PBE geometry in Alexandria, the powder diffractogram of LiCeZn10 was computed for λ = 1.5418 Å (Cu Kα).

Structural model:
```
LiCeZn10
1.0
4.328 0.000 0.000
0.000 5.147 0.000
0.000 0.000 9.235
Li Ce Zn
1 1 10
direct
0.000 0.000 0.000
0.000 0.500 0.500
0.000 0.000 0.303
0.000 0.000 0.697
0.000 0.500 0.151
0.000 0.500 0.849
0.500 0.000 0.500
0.500 0.258 0.260
0.500 0.258 0.740
0.500 0.500 0.000
0.500 0.742 0.260
0.500 0.742 0.740
```

Peak list (8 most intense, 5 to 70 degrees two-theta, in order of rising 2θ)
2θ/deg	intensity
9.6	32.9
33.3	25.2
40.0	100.0
40.1	27.9
40.8	51.5
41.7	54.4
45.5	46.4
65.9	29.9

Entry 6:
Starting from the PBE geometry in Alexandria, the powder diffractogram of Na3MoBr6 was computed for λ = 1.5418 Å (Cu Kα).

Structural model:
```
Na3MoBr6
1.0
6.054 3.495 4.869
-6.054 3.495 4.869
0.000 -6.990 4.869
Na Mo Br
6 2 12
direct
0.072 0.744 0.586
0.256 0.414 0.928
0.414 0.928 0.256
0.586 0.072 0.744
0.744 0.586 0.072
0.928 0.256 0.414
0.000 0.000 0.000
0.500 0.500 0.500
0.047 0.704 0.931
0.069 0.953 0.296
0.210 0.419 0.569
0.296 0.069 0.953
0.419 0.569 0.210
0.431 0.790 0.581
0.569 0.210 0.419
0.581 0.431 0.790
0.704 0.931 0.047
0.790 0.581 0.431
0.931 0.047 0.704
0.953 0.296 0.069
```

Peak list (8 most intense, 5 to 70 degrees two-theta, in order of rising 2θ)
2θ/deg	intensity
14.6	41.7
14.8	64.1
20.9	39.6
25.6	91.5
33.2	70.8
33.4	100.0
39.4	62.9
48.0	35.7

Entry 7:
Starting from the PBE geometry in Alexandria, the powder diffractogram of K5HgO4 was computed for λ = 1.5418 Å (Cu Kα).

Structural model:
```
K5HgO4
1.0
7.161 -2.044 0.000
7.161 2.044 0.000
-3.419 0.000 8.385
K Hg O
5 1 4
direct
0.000 0.000 0.000
0.287 0.287 0.173
0.343 0.343 0.641
0.657 0.657 0.359
0.713 0.713 0.827
0.000 0.000 0.500
0.148 0.148 0.550
0.363 0.363 0.943
0.637 0.637 0.057
0.852 0.852 0.450
```

Peak list (8 most intense, 5 to 70 degrees two-theta, in order of rising 2θ)
2θ/deg	intensity
10.6	94.1
13.5	34.7
20.3	36.6
21.2	38.9
22.8	36.1
29.2	38.3
29.5	100.0
29.8	86.9

Entry 8:
Starting from the PBE geometry in Alexandria, the powder diffractogram of NaAc4Pb4 was computed for λ = 1.5418 Å (Cu Kα).

Structural model:
```
NaAc4Pb4
1.0
9.785 0.000 0.000
0.000 9.785 0.000
0.000 0.000 6.986
Na Ac Pb
2 8 8
direct
0.250 0.250 0.250
0.750 0.750 0.750
0.026 0.679 0.103
0.179 0.974 0.603
0.321 0.526 0.603
0.474 0.821 0.103
0.526 0.179 0.897
0.679 0.474 0.397
0.821 0.026 0.397
0.974 0.321 0.897
0.004 0.652 0.591
0.152 0.996 0.091
0.348 0.504 0.091
0.496 0.848 0.591
0.504 0.152 0.409
0.652 0.496 0.909
0.848 0.004 0.909
0.996 0.348 0.409
```

Peak list (8 most intense, 5 to 70 degrees two-theta, in order of rising 2θ)
2θ/deg	intensity
25.8	24.9
27.1	43.7
28.9	100.0
32.8	69.9
41.3	19.6
42.2	30.4
46.2	34.3
57.1	17.9

Entry 9:
Starting from the PBE geometry in Alexandria, the powder diffractogram of Ac4Tl3Ru was computed for λ = 1.5418 Å (Cu Kα).

Structural model:
```
Ac4Tl3Ru
1.0
8.922 0.000 0.000
0.000 10.833 0.000
0.000 0.000 6.532
Ac Tl Ru
8 6 2
direct
0.000 0.028 0.000
0.000 0.810 0.531
0.248 0.366 0.627
0.252 0.634 0.127
0.500 0.190 0.031
0.500 0.972 0.500
0.748 0.634 0.127
0.752 0.366 0.627
0.000 0.130 0.489
0.166 0.313 0.129
0.334 0.687 0.629
0.500 0.870 0.989
0.666 0.687 0.629
0.834 0.313 0.129
0.000 0.779 0.101
0.500 0.221 0.601
```

Peak list (8 most intense, 5 to 70 degrees two-theta, in order of rising 2θ)
2θ/deg	intensity
21.5	100.0
27.3	57.2
28.5	27.8
30.0	52.5
31.9	32.3
34.0	32.5
35.0	29.7
37.1	36.2

Entry 10:
Starting from the PBE geometry in Alexandria, the powder diffractogram of LaHoAl6 was computed for λ = 1.5418 Å (Cu Kα).

Structural model:
```
LaHoAl6
1.0
6.442 0.000 0.000
-3.221 5.579 0.000
0.000 0.000 4.655
La Ho Al
1 1 6
direct
0.000 0.000 0.000
0.667 0.333 0.500
0.045 0.522 0.000
0.193 0.386 0.500
0.193 0.807 0.500
0.478 0.522 0.000
0.478 0.955 0.000
0.614 0.807 0.500
```

Peak list (8 most intense, 5 to 70 degrees two-theta, in order of rising 2θ)
2θ/deg	intensity
15.9	23.6
24.9	100.0
27.7	48.6
32.1	25.4
37.6	99.6
38.7	21.7
47.3	24.8
48.2	21.6

Entry 11:
Starting from the PBE geometry in Alexandria, the powder diffractogram of Pm2Sm3Ho3 was computed for λ = 1.5418 Å (Cu Kα).

Structural model:
```
Pm2Sm3Ho3
1.0
5.081 0.000 0.000
0.000 5.086 0.000
0.000 0.000 20.313
Pm Sm Ho
4 6 6
direct
0.000 0.000 0.250
0.000 0.000 0.750
0.500 0.500 0.250
0.500 0.500 0.750
0.000 0.000 0.000
0.000 0.500 0.124
0.000 0.500 0.876
0.500 0.000 0.376
0.500 0.000 0.624
0.500 0.500 0.500
0.000 0.000 0.500
0.000 0.500 0.376
0.000 0.500 0.624
0.500 0.000 0.124
0.500 0.000 0.876
0.500 0.500 0.000
```

Peak list (5 most intense, 5 to 70 degrees two-theta, in order of rising 2θ)
2θ/deg	intensity
30.5	100.0
35.3	50.6
50.8	36.1
60.4	43.0
63.4	12.4

Entry 12:
Starting from the PBE geometry in Alexandria, the powder diffractogram of Pr5DySe8 was computed for λ = 1.5418 Å (Cu Kα).

Structural model:
```
Pr5DySe8
1.0
-4.463 4.463 4.519
4.463 -4.463 4.519
4.463 4.463 -4.519
Pr Dy Se
5 1 8
direct
0.000 0.000 0.000
0.126 0.258 0.631
0.506 0.874 0.133
0.627 0.494 0.369
0.742 0.373 0.867
0.250 0.750 0.500
0.027 0.626 0.751
0.226 0.482 0.112
0.370 0.114 0.888
0.374 0.125 0.401
0.518 0.630 0.744
0.724 0.973 0.599
0.875 0.276 0.249
0.886 0.774 0.256
```

Peak list (8 most intense, 5 to 70 degrees two-theta, in order of rising 2θ)
2θ/deg	intensity
24.4	29.4
31.3	53.4
31.7	100.0
37.4	34.6
37.6	33.8
37.7	31.7
47.5	15.8
64.3	21.6

Entry 13:
Starting from the PBE geometry in Alexandria, the powder diffractogram of Ho5Tm2Th5 was computed for λ = 1.5418 Å (Cu Kα).

Structural model:
```
Ho5Tm2Th5
1.0
7.478 -2.508 0.000
7.478 2.508 0.000
-4.980 0.000 10.080
Ho Tm Th
5 2 5
direct
0.000 0.000 0.000
0.084 0.084 0.748
0.168 0.168 0.504
0.832 0.832 0.496
0.916 0.916 0.252
0.417 0.417 0.749
0.583 0.583 0.251
0.250 0.250 0.247
0.331 0.331 0.997
0.500 0.500 0.500
0.669 0.669 0.003
0.750 0.750 0.753
```

Peak list (8 most intense, 5 to 70 degrees two-theta, in order of rising 2θ)
2θ/deg	intensity
30.9	100.0
35.6	17.1
35.8	17.0
36.0	16.7
61.1	14.6
61.3	14.6
61.6	14.4
64.4	12.6